1.
Structure and computed X-ray diffraction stick pattern of Ba2Ag3Hg (a crystal structure in Alexandria, relaxed with PBE; Cu Kα (λ = 1.5418 Å)).
Kinematic intensities with the Lorentz-polarization factor, no thermal factor.

Main lines, by angle (15° ≤ 2θ ≤ 90°):
| 2θ/deg | d (Å) | I (rel.) |
| --- | --- | --- |
| 20.27 | 4.382 | 10.6 |
| 29.03 | 3.076 | 100.0 |
| 36.03 | 2.493 | 63.7 |
| 41.20 | 2.191 | 14.6 |
| 41.68 | 2.167 | 10.0 |
| 46.92 | 1.937 | 26.2 |
| 55.87 | 1.646 | 35.0 |
| 60.54 | 1.529 | 24.3 |
| 64.77 | 1.439 | 11.1 |
| 79.71 | 1.203 | 12.4 |

Structure:
Lattice parameters (Å, degrees): 9.974 9.688 6.636 72.62 67.96 39.42
Positions (direct):
Ba 0.249 0.751 0.751
Ba 0.250 0.250 0.250
Ba 0.750 0.750 0.750
Ba 0.751 0.249 0.249
Ag 0.172 0.664 0.336
Ag 0.336 0.336 0.664
Ag 0.336 0.828 0.172
Ag 0.664 0.172 0.828
Ag 0.664 0.664 0.336
Ag 0.828 0.336 0.664
Hg 0.167 0.167 0.833
Hg 0.833 0.833 0.167


2.
Structure and computed X-ray diffraction stick pattern of Be3Tc2 (a crystal structure in Alexandria, relaxed with PBE; Cu Kα (λ = 1.5418 Å)).
Kinematic intensities with the Lorentz-polarization factor, no thermal factor.

Main lines, by angle (15° ≤ 2θ ≤ 90°):
| 2θ/deg | d (Å) | I (rel.) |
| --- | --- | --- |
| 23.07 | 3.855 | 24.6 |
| 27.43 | 3.252 | 56.0 |
| 27.59 | 3.233 | 36.8 |
| 38.15 | 2.359 | 100.0 |
| 40.06 | 2.251 | 31.3 |
| 43.31 | 2.089 | 75.9 |
| 49.34 | 1.847 | 22.7 |
| 51.94 | 1.760 | 26.8 |
| 67.57 | 1.386 | 27.6 |
| 72.16 | 1.309 | 16.2 |

Structure:
Lattice parameters (Å, degrees): 4.464 4.464 5.936 90.00 90.00 119.44
Positions (direct):
Be 0.000 0.000 0.000
Be 0.156 0.344 0.250
Be 0.344 0.156 0.750
Be 0.500 0.500 0.500
Be 0.656 0.844 0.250
Be 0.844 0.656 0.750
Tc 0.164 0.836 0.402
Tc 0.336 0.664 0.902
Tc 0.664 0.336 0.098
Tc 0.836 0.164 0.598


3.
Structure and computed X-ray diffraction stick pattern of NaTlSnAs2 (a crystal structure in Alexandria, relaxed with PBE; Cu Kα (λ = 1.5418 Å)).
Kinematic intensities with the Lorentz-polarization factor, no thermal factor.

Main lines, by angle (15° ≤ 2θ ≤ 90°):
| 2θ/deg | d (Å) | I (rel.) |
| --- | --- | --- |
| 23.67 | 3.760 | 55.1 |
| 23.97 | 3.713 | 29.6 |
| 25.26 | 3.526 | 55.6 |
| 25.40 | 3.507 | 100.0 |
| 31.57 | 2.834 | 42.3 |
| 33.09 | 2.707 | 98.5 |
| 36.37 | 2.470 | 29.1 |
| 37.01 | 2.429 | 98.6 |
| 40.04 | 2.252 | 46.1 |
| 42.93 | 2.107 | 26.8 |

Structure:
Lattice parameters (Å, degrees): 8.819 8.819 8.654 118.59 118.59 29.59
Positions (direct):
Na 0.089 0.089 0.434
Na 0.911 0.911 0.566
Tl 0.240 0.240 0.221
Tl 0.760 0.760 0.779
Sn 0.437 0.437 0.104
Sn 0.563 0.563 0.896
As 0.122 0.122 0.805
As 0.381 0.381 0.753
As 0.619 0.619 0.247
As 0.878 0.878 0.195


4.
Structure and computed X-ray diffraction stick pattern of CePmHo5Er2 (a crystal structure in Alexandria, relaxed with PBE; Cu Kα (λ = 1.5418 Å)).
Kinematic intensities with the Lorentz-polarization factor, no thermal factor.

Main lines, by angle (15° ≤ 2θ ≤ 90°):
| 2θ/deg | d (Å) | I (rel.) |
| --- | --- | --- |
| 26.73 | 3.336 | 25.6 |
| 27.45 | 3.249 | 12.9 |
| 31.57 | 2.834 | 60.8 |
| 32.25 | 2.776 | 100.0 |
| 32.54 | 2.752 | 65.9 |
| 34.69 | 2.586 | 43.4 |
| 41.83 | 2.160 | 15.5 |
| 56.66 | 1.625 | 25.2 |
| 56.84 | 1.620 | 13.5 |
| 64.39 | 1.447 | 14.9 |

Structure:
Lattice parameters (Å, degrees): 11.050 11.050 9.547 90.00 90.00 150.28
Positions (direct):
Ce 0.194 0.806 0.500
Ce 0.806 0.194 0.000
Pm 0.403 0.597 0.901
Pm 0.597 0.403 0.401
Ho 0.013 0.987 0.492
Ho 0.267 0.733 0.810
Ho 0.306 0.694 0.193
Ho 0.394 0.606 0.518
Ho 0.471 0.529 0.223
Ho 0.529 0.471 0.723
Ho 0.606 0.394 0.018
Ho 0.694 0.306 0.693
Ho 0.733 0.267 0.310
Ho 0.987 0.013 0.992
Er 0.113 0.887 0.800
Er 0.136 0.864 0.182
Er 0.864 0.136 0.682
Er 0.887 0.113 0.300


5.
Structure and computed X-ray diffraction stick pattern of Tm4Cu2Tc (a crystal structure in Alexandria, relaxed with PBE; Cu Kα (λ = 1.5418 Å)).
Kinematic intensities with the Lorentz-polarization factor, no thermal factor.

Main lines, by angle (15° ≤ 2θ ≤ 90°):
| 2θ/deg | d (Å) | I (rel.) |
| --- | --- | --- |
| 21.71 | 4.094 | 2.6 |
| 26.26 | 3.394 | 28.2 |
| 37.47 | 2.400 | 100.0 |
| 39.26 | 2.295 | 1.5 |
| 46.33 | 1.960 | 8.4 |
| 54.04 | 1.697 | 17.2 |
| 61.05 | 1.518 | 11.5 |
| 67.61 | 1.386 | 34.6 |
| 79.95 | 1.200 | 10.8 |
| 85.91 | 1.131 | 5.9 |

Structure:
Lattice parameters (Å, degrees): 8.312 8.312 8.312 33.57 33.57 33.57
Positions (direct):
Tm 0.123 0.123 0.123
Tm 0.375 0.375 0.375
Tm 0.625 0.625 0.625
Tm 0.877 0.877 0.877
Cu 0.253 0.253 0.253
Cu 0.747 0.747 0.747
Tc 0.000 0.000 0.000


6.
Structure and computed X-ray diffraction stick pattern of FeAgGe (a crystal structure in Alexandria, relaxed with PBE; Cu Kα (λ = 1.5418 Å)).
Kinematic intensities with the Lorentz-polarization factor, no thermal factor.

Main lines, by angle (15° ≤ 2θ ≤ 90°):
| 2θ/deg | d (Å) | I (rel.) |
| --- | --- | --- |
| 22.12 | 4.018 | 14.1 |
| 22.41 | 3.968 | 18.9 |
| 29.34 | 3.044 | 37.9 |
| 33.50 | 2.675 | 19.1 |
| 37.91 | 2.373 | 49.7 |
| 38.64 | 2.330 | 14.2 |
| 39.16 | 2.300 | 24.9 |
| 45.12 | 2.009 | 100.0 |
| 45.73 | 1.984 | 13.8 |
| 73.54 | 1.288 | 21.8 |

Structure:
Lattice parameters (Å, degrees): 6.186 5.448 4.785 74.07 57.87 48.06
Positions (direct):
Fe 0.250 0.250 0.250
Fe 0.750 0.750 0.750
Ag 0.201 0.799 0.201
Ag 0.799 0.201 0.799
Ge 0.253 0.253 0.747
Ge 0.747 0.747 0.253


7.
Structure and computed X-ray diffraction stick pattern of La2Pa2S7 (a crystal structure in Alexandria, relaxed with PBE; Cu Kα (λ = 1.5418 Å)).
Kinematic intensities with the Lorentz-polarization factor, no thermal factor.

Main lines, by angle (15° ≤ 2θ ≤ 90°):
| 2θ/deg | d (Å) | I (rel.) |
| --- | --- | --- |
| 23.20 | 3.833 | 100.0 |
| 27.01 | 3.301 | 15.5 |
| 38.23 | 2.354 | 45.3 |
| 38.57 | 2.334 | 23.8 |
| 44.90 | 2.019 | 15.1 |
| 45.49 | 1.994 | 34.2 |
| 55.68 | 1.651 | 8.1 |
| 60.65 | 1.527 | 12.5 |
| 69.56 | 1.352 | 15.4 |
| 74.65 | 1.271 | 8.1 |

Structure:
Lattice parameters (Å, degrees): 4.669 4.669 13.432 90.00 90.00 90.00
Positions (direct):
La 0.000 0.500 0.143
La 0.500 0.000 0.857
Pa 0.000 0.500 0.620
Pa 0.500 0.000 0.380
S 0.000 0.000 0.253
S 0.000 0.000 0.500
S 0.000 0.000 0.747
S 0.500 0.500 0.000
S 0.500 0.500 0.265
S 0.500 0.500 0.500
S 0.500 0.500 0.735


8.
Structure and computed X-ray diffraction stick pattern of CsCd5Cl11 (a crystal structure in Alexandria, relaxed with PBE; Cu Kα (λ = 1.5418 Å)).
Kinematic intensities with the Lorentz-polarization factor, no thermal factor.

Main lines, by angle (15° ≤ 2θ ≤ 90°):
| 2θ/deg | d (Å) | I (rel.) |
| --- | --- | --- |
| 17.25 | 5.141 | 54.2 |
| 18.14 | 4.890 | 51.1 |
| 22.28 | 3.991 | 53.1 |
| 23.34 | 3.811 | 37.2 |
| 26.87 | 3.318 | 47.7 |
| 32.16 | 2.783 | 100.0 |
| 32.99 | 2.715 | 58.6 |
| 35.89 | 2.502 | 37.4 |
| 41.86 | 2.158 | 36.2 |
| 55.25 | 1.663 | 29.1 |

Structure:
Lattice parameters (Å, degrees): 8.641 8.641 8.270 104.02 104.02 109.46
Positions (direct):
Cs 0.000 0.000 0.000
Cd 0.080 0.369 0.629
Cd 0.369 0.080 0.629
Cd 0.500 0.500 0.000
Cd 0.631 0.920 0.371
Cd 0.920 0.631 0.371
Cl 0.000 0.000 0.500
Cl 0.132 0.705 0.673
Cl 0.168 0.424 0.956
Cl 0.295 0.868 0.327
Cl 0.395 0.395 0.634
Cl 0.424 0.168 0.956
Cl 0.576 0.832 0.044
Cl 0.605 0.605 0.366
Cl 0.705 0.132 0.673
Cl 0.832 0.576 0.044
Cl 0.868 0.295 0.327


9.
Structure and computed X-ray diffraction stick pattern of Tl2AsIr (a crystal structure in Alexandria, relaxed with PBE; Cu Kα (λ = 1.5418 Å)).
Kinematic intensities with the Lorentz-polarization factor, no thermal factor.

Main lines, by angle (15° ≤ 2θ ≤ 90°):
| 2θ/deg | d (Å) | I (rel.) |
| --- | --- | --- |
| 27.38 | 3.257 | 24.3 |
| 28.03 | 3.184 | 13.2 |
| 28.25 | 3.159 | 47.6 |
| 36.33 | 2.473 | 100.0 |
| 39.13 | 2.302 | 26.5 |
| 44.38 | 2.041 | 21.7 |
| 48.42 | 1.880 | 10.6 |
| 53.07 | 1.726 | 10.8 |
| 60.63 | 1.527 | 17.3 |
| 69.07 | 1.360 | 15.7 |

Structure:
Lattice parameters (Å, degrees): 3.283 4.605 13.029 90.00 90.00 90.00
Positions (direct):
Tl 0.000 0.000 0.000
Tl 0.000 0.500 0.190
Tl 0.500 0.000 0.690
Tl 0.500 0.500 0.500
As 0.000 0.500 0.812
As 0.500 0.000 0.312
Ir 0.000 0.000 0.447
Ir 0.500 0.500 0.947


10.
Structure and computed X-ray diffraction stick pattern of Rb2CaPuO4 (a crystal structure in Alexandria, relaxed with PBE; Cu Kα (λ = 1.5418 Å)).
Kinematic intensities with the Lorentz-polarization factor, no thermal factor.

Main lines, by angle (15° ≤ 2θ ≤ 90°):
| 2θ/deg | d (Å) | I (rel.) |
| --- | --- | --- |
| 15.21 | 5.824 | 53.0 |
| 17.12 | 5.180 | 38.6 |
| 27.32 | 3.264 | 59.0 |
| 30.37 | 2.943 | 80.4 |
| 30.70 | 2.912 | 38.9 |
| 34.36 | 2.610 | 100.0 |
| 34.64 | 2.590 | 47.5 |
| 47.39 | 1.918 | 34.3 |
| 51.71 | 1.768 | 30.7 |
| 59.46 | 1.555 | 28.3 |

Structure:
Lattice parameters (Å, degrees): 6.101 3.577 6.839 90.00 107.33 90.00
Positions (direct):
Rb 0.000 0.000 0.000
Rb 0.500 0.500 0.000
Ca 0.000 0.500 0.500
Pu 0.500 0.000 0.500
O 0.253 0.000 0.674
O 0.288 0.500 0.321
O 0.712 0.500 0.679
O 0.747 0.000 0.326


11.
Structure and computed X-ray diffraction stick pattern of La12Pr2Dy5 (a crystal structure in Alexandria, relaxed with PBE; Cu Kα (λ = 1.5418 Å)).
Kinematic intensities with the Lorentz-polarization factor, no thermal factor.

Main lines, by angle (15° ≤ 2θ ≤ 90°):
| 2θ/deg | d (Å) | I (rel.) |
| --- | --- | --- |
| 26.23 | 3.397 | 20.7 |
| 30.08 | 2.971 | 51.1 |
| 30.21 | 2.958 | 25.8 |
| 30.77 | 2.906 | 29.8 |
| 30.90 | 2.893 | 100.0 |
| 31.87 | 2.808 | 49.3 |
| 33.93 | 2.642 | 22.1 |
| 43.57 | 2.077 | 20.1 |
| 53.93 | 1.700 | 17.1 |
| 54.18 | 1.693 | 12.9 |

Structure:
Lattice parameters (Å, degrees): 8.931 8.931 9.565 109.63 109.63 83.41
Positions (direct):
La 0.032 0.547 0.691
La 0.066 0.066 0.271
La 0.132 0.657 0.092
La 0.343 0.868 0.908
La 0.396 0.396 0.573
La 0.453 0.968 0.309
La 0.547 0.032 0.691
La 0.604 0.604 0.427
La 0.657 0.132 0.092
La 0.868 0.343 0.908
La 0.934 0.934 0.729
La 0.968 0.453 0.309
Pr 0.215 0.785 0.500
Pr 0.785 0.215 0.500
Dy 0.195 0.195 0.734
Dy 0.286 0.286 0.142
Dy 0.500 0.500 0.000
Dy 0.714 0.714 0.858
Dy 0.805 0.805 0.266


12.
Structure and computed X-ray diffraction stick pattern of SrH5CSI3 (a crystal structure in Alexandria, relaxed with PBE; Cu Kα (λ = 1.5418 Å)).
Kinematic intensities with the Lorentz-polarization factor, no thermal factor.

Main lines, by angle (15° ≤ 2θ ≤ 90°):
| 2θ/deg | d (Å) | I (rel.) |
| --- | --- | --- |
| 23.15 | 3.843 | 86.4 |
| 23.64 | 3.764 | 73.4 |
| 23.86 | 3.729 | 39.2 |
| 24.16 | 3.684 | 34.6 |
| 24.38 | 3.652 | 69.2 |
| 24.47 | 3.637 | 33.9 |
| 25.55 | 3.486 | 76.7 |
| 25.65 | 3.473 | 43.8 |
| 34.95 | 2.567 | 37.7 |
| 36.51 | 2.461 | 100.0 |

Structure:
Lattice parameters (Å, degrees): 4.924 11.327 20.573 88.65 89.46 89.54
Positions (direct):
Sr 0.000 0.000 0.000
Sr 0.035 0.474 0.389
Sr 0.501 0.679 0.893
Sr 0.560 0.149 0.505
H 0.149 0.629 0.605
H 0.150 0.775 0.569
H 0.190 0.236 0.726
H 0.205 0.280 0.858
H 0.247 0.945 0.240
H 0.298 0.433 0.206
H 0.300 0.267 0.167
H 0.305 0.441 0.081
H 0.337 0.791 0.257
H 0.415 0.930 0.364
H 0.549 0.882 0.205
H 0.612 0.357 0.068
H 0.629 0.500 0.103
H 0.632 0.038 0.307
H 0.806 0.287 0.858
H 0.828 0.244 0.725
H 0.833 0.700 0.583
H 0.837 0.866 0.668
H 0.838 0.697 0.709
H 0.995 0.135 0.777
C 0.005 0.225 0.756
C 0.039 0.713 0.601
C 0.412 0.881 0.248
C 0.509 0.420 0.099
S 0.010 0.334 0.819
S 0.030 0.775 0.681
S 0.493 0.353 0.180
S 0.619 0.918 0.317
I 0.003 0.516 0.950
I 0.052 0.337 0.537
I 0.072 0.980 0.447
I 0.500 0.816 0.037
I 0.501 0.174 0.940
I 0.518 0.553 0.752
I 0.522 0.022 0.645
I 0.531 0.641 0.433
I 0.545 0.273 0.355
I 0.966 0.112 0.143
I 0.987 0.575 0.240
I 0.999 0.872 0.854


13.
Structure and computed X-ray diffraction stick pattern of NpSbN (a crystal structure in Alexandria, relaxed with PBE; Cu Kα (λ = 1.5418 Å)).
Kinematic intensities with the Lorentz-polarization factor, no thermal factor.

Main lines, by angle (15° ≤ 2θ ≤ 90°):
| 2θ/deg | d (Å) | I (rel.) |
| --- | --- | --- |
| 25.50 | 3.493 | 22.2 |
| 32.15 | 2.785 | 53.9 |
| 32.83 | 2.728 | 100.0 |
| 46.10 | 1.969 | 23.3 |
| 48.72 | 1.869 | 12.7 |
| 57.75 | 1.596 | 40.6 |
| 59.05 | 1.564 | 14.9 |
| 76.50 | 1.245 | 9.5 |
| 76.88 | 1.240 | 8.9 |
| 84.41 | 1.148 | 9.0 |

Structure:
Lattice parameters (Å, degrees): 3.938 3.938 7.564 90.00 90.00 90.00
Positions (direct):
Np 0.250 0.250 0.143
Np 0.750 0.750 0.857
Sb 0.250 0.250 0.591
Sb 0.750 0.750 0.409
N 0.250 0.750 0.000
N 0.750 0.250 0.000